(1)
Starting from the GGA-PBE geometry in Alexandria, the powder XRD pattern of ZnGe2Se4 was simulated for Cu Kα (weighted mean of Kα1 and Kα2).
Peak positions follow from Bragg's law for the DFT cell and can differ from measured ones.

Structural model:
Lattice parameters (Å, degrees): 7.4300 7.4300 6.6137 90.00 90.00 90.00
Fractional positions:
Zn 0.0000 0.0000 0.0000
Zn 0.5000 0.5000 0.5000
Ge 0.0000 0.5000 0.2500
Ge 0.0000 0.5000 0.7500
Ge 0.5000 0.0000 0.2500
Ge 0.5000 0.0000 0.7500
Se 0.1757 0.7003 0.0000
Se 0.2003 0.3243 0.5000
Se 0.2997 0.1757 0.0000
Se 0.3243 0.7997 0.5000
Se 0.6757 0.2003 0.5000
Se 0.7003 0.8243 0.0000
Se 0.7997 0.6757 0.5000
Se 0.8243 0.2997 0.0000

Largest 10 diffraction maxima, by angle, 10° ≤ 2θ ≤ 90°:
- 2θ 16.88, I = 360
- 2θ 17.96, I = 360
- 2θ 30.10, I = 1000
- 2θ 31.98, I = 308
- 2θ 34.13, I = 575
- 2θ 36.37, I = 625
- 2θ 47.47, I = 702
- 2θ 49.63, I = 241
- 2θ 52.64, I = 414
- 2θ 80.84, I = 294

---

(2)
Starting from the GGA-PBE geometry in Alexandria, the powder XRD pattern of Si7Ge was simulated for Cu Kα (weighted mean of Kα1 and Kα2).
Peak positions follow from Bragg's law for the DFT cell and can differ from measured ones.

Structural model:
Lattice parameters (Å, degrees): 5.4972 5.4972 5.4972 90.00 90.00 90.00
Fractional positions:
Si 0.0000 0.0000 0.5000
Si 0.0000 0.5000 0.0000
Si 0.2471 0.2471 0.7529
Si 0.2471 0.7529 0.2471
Si 0.5000 0.0000 0.0000
Si 0.7529 0.2471 0.2471
Si 0.7529 0.7529 0.7529
Ge 0.5000 0.5000 0.5000

Largest 10 diffraction maxima, by angle, 10° ≤ 2θ ≤ 90°:
- 2θ 16.12, I = 124
- 2θ 22.88, I = 128
- 2θ 28.12, I = 1000
- 2θ 36.55, I = 88
- 2θ 40.18, I = 63
- 2θ 46.74, I = 668
- 2θ 55.44, I = 409
- 2θ 68.24, I = 107
- 2θ 75.36, I = 166
- 2θ 86.79, I = 229

---

(3)
Starting from the GGA-PBE geometry in Alexandria, the powder XRD pattern of Sm5Si2Ge5 was simulated for Cu Kα (weighted mean of Kα1 and Kα2).
Peak positions follow from Bragg's law for the DFT cell and can differ from measured ones.

Structural model:
Lattice parameters (Å, degrees): 7.7241 7.7241 11.6233 128.00 128.00 31.08
Fractional positions:
Sm 0.0000 0.0000 0.0000
Sm 0.1131 0.1131 0.4287
Sm 0.2056 0.2056 0.8368
Sm 0.7944 0.7944 0.1632
Sm 0.8869 0.8869 0.5713
Si 0.3581 0.3581 0.7396
Si 0.6419 0.6419 0.2604
Ge 0.2562 0.2562 0.3129
Ge 0.4380 0.4380 0.1531
Ge 0.5000 0.5000 0.5000
Ge 0.5620 0.5620 0.8469
Ge 0.7438 0.7438 0.6871

Largest 10 diffraction maxima, by angle, 10° ≤ 2θ ≤ 90°:
- 2θ 25.93, I = 247
- 2θ 28.52, I = 354
- 2θ 31.92, I = 1000
- 2θ 32.34, I = 436
- 2θ 33.66, I = 596
- 2θ 37.63, I = 331
- 2θ 40.25, I = 433
- 2θ 43.74, I = 299
- 2θ 55.44, I = 187
- 2θ 66.27, I = 147

---

(4)
Starting from the GGA-PBE geometry in Alexandria, the powder XRD pattern of SmSiGe was simulated for Cu Kα (weighted mean of Kα1 and Kα2).
Peak positions follow from Bragg's law for the DFT cell and can differ from measured ones.

Structural model:
Lattice parameters (Å, degrees): 4.0433 7.8553 8.1179 90.00 90.00 90.00
Fractional positions:
Sm 0.0000 0.0000 0.2482
Sm 0.0000 0.0000 0.7518
Sm 0.5000 0.5000 0.2517
Sm 0.5000 0.5000 0.7482
Si 0.0000 0.3492 0.5000
Si 0.0000 0.6508 0.5000
Si 0.5000 0.1508 0.0000
Si 0.5000 0.8492 0.0000
Ge 0.0000 0.3285 0.0000
Ge 0.0000 0.6715 0.0000
Ge 0.5000 0.1715 0.5000
Ge 0.5000 0.8285 0.5000

Largest 10 diffraction maxima, by angle, 10° ≤ 2θ ≤ 90°:
- 2θ 22.64, I = 157
- 2θ 24.77, I = 242
- 2θ 31.70, I = 560
- 2θ 33.29, I = 1000
- 2θ 41.07, I = 435
- 2θ 44.65, I = 173
- 2θ 44.83, I = 171
- 2θ 51.71, I = 210
- 2θ 55.95, I = 222
- 2θ 62.27, I = 252

---

(5)
Starting from the GGA-PBE geometry in Alexandria, the powder XRD pattern of Sm2SiGe3 was simulated for Cu Kα (weighted mean of Kα1 and Kα2).
Peak positions follow from Bragg's law for the DFT cell and can differ from measured ones.

Structural model:
Lattice parameters (Å, degrees): 9.1168 9.0967 5.7135 71.91 71.53 36.56
Fractional positions:
Sm 0.2500 0.2500 0.2500
Sm 0.2498 0.7502 0.2498
Sm 0.7502 0.2498 0.7502
Sm 0.7500 0.7500 0.7500
Si 0.1679 0.1679 0.8321
Si 0.8321 0.8321 0.1679
Ge 0.1673 0.6697 0.8327
Ge 0.3221 0.3221 0.6779
Ge 0.3303 0.8327 0.6697
Ge 0.6697 0.1673 0.3303
Ge 0.6779 0.6779 0.3221
Ge 0.8327 0.3303 0.1673

Largest 10 diffraction maxima, by angle, 10° ≤ 2θ ≤ 90°:
- 2θ 21.78, I = 152
- 2θ 24.70, I = 139
- 2θ 31.06, I = 497
- 2θ 33.23, I = 1000
- 2θ 40.03, I = 465
- 2θ 44.61, I = 175
- 2θ 45.14, I = 172
- 2θ 50.02, I = 179
- 2θ 55.81, I = 190
- 2θ 61.47, I = 260

---

(6)
Starting from the GGA-PBE geometry in Alexandria, the powder XRD pattern of SrSiGe was simulated for Cu Kα (weighted mean of Kα1 and Kα2).
Peak positions follow from Bragg's law for the DFT cell and can differ from measured ones.

Structural model:
Lattice parameters (Å, degrees): 3.9821 8.5480 8.9894 90.00 90.00 90.00
Fractional positions:
Sr 0.0000 0.0000 0.2335
Sr 0.0000 0.0000 0.7665
Sr 0.5000 0.5000 0.2665
Sr 0.5000 0.5000 0.7335
Si 0.0000 0.3647 0.0000
Si 0.0000 0.6353 0.0000
Si 0.5000 0.1353 0.5000
Si 0.5000 0.8647 0.5000
Ge 0.0000 0.2972 0.5000
Ge 0.0000 0.7028 0.5000
Ge 0.5000 0.2028 0.0000
Ge 0.5000 0.7972 0.0000

Largest 10 diffraction maxima, by angle, 10° ≤ 2θ ≤ 90°:
- 2θ 28.83, I = 927
- 2θ 31.80, I = 1000
- 2θ 32.30, I = 272
- 2θ 38.86, I = 514
- 2θ 40.12, I = 275
- 2θ 45.56, I = 208
- 2θ 54.81, I = 298
- 2θ 57.09, I = 299
- 2θ 62.30, I = 147
- 2θ 62.64, I = 205

---

(7)
Starting from the GGA-PBE geometry in Alexandria, the powder XRD pattern of Sr3SiGe3 was simulated for Cu Kα (weighted mean of Kα1 and Kα2).
Peak positions follow from Bragg's law for the DFT cell and can differ from measured ones.

Structural model:
Lattice parameters (Å, degrees): 6.3261 6.3261 14.3658 108.77 108.77 44.50
Fractional positions:
Sr 0.0192 0.0192 0.3832
Sr 0.1046 0.1046 0.9212
Sr 0.2372 0.2372 0.2327
Sr 0.7628 0.7628 0.7673
Sr 0.8954 0.8954 0.0788
Sr 0.9808 0.9808 0.6168
Si 0.2671 0.2671 0.6167
Si 0.7329 0.7329 0.3833
Ge 0.3149 0.3149 0.4594
Ge 0.3977 0.3977 0.9236
Ge 0.4717 0.4717 0.7681
Ge 0.5283 0.5283 0.2319
Ge 0.6023 0.6023 0.0764
Ge 0.6851 0.6851 0.5406

Largest 10 diffraction maxima, by angle, 10° ≤ 2θ ≤ 90°:
- 2θ 25.73, I = 315
- 2θ 29.58, I = 960
- 2θ 30.39, I = 471
- 2θ 30.60, I = 328
- 2θ 31.14, I = 1000
- 2θ 36.90, I = 652
- 2θ 37.55, I = 695
- 2θ 37.79, I = 302
- 2θ 38.78, I = 261
- 2θ 58.44, I = 315

---

(8)
Starting from the GGA-PBE geometry in Alexandria, the powder XRD pattern of SrSiGe was simulated for Cu Kα (weighted mean of Kα1 and Kα2).
Peak positions follow from Bragg's law for the DFT cell and can differ from measured ones.

Structural model:
Lattice parameters (Å, degrees): 4.3137 4.3137 4.5884 90.00 90.00 120.00
Fractional positions:
Sr 0.0000 0.0000 0.0000
Si 0.6667 0.3333 0.5000
Ge 0.3333 0.6667 0.5000

Largest 10 diffraction maxima, by angle, 10° ≤ 2θ ≤ 90°:
- 2θ 23.82, I = 127
- 2θ 30.87, I = 1000
- 2θ 39.27, I = 149
- 2θ 41.88, I = 370
- 2θ 52.92, I = 213
- 2θ 58.76, I = 268
- 2θ 66.00, I = 109
- 2θ 69.67, I = 186
- 2θ 76.50, I = 62
- 2θ 89.56, I = 86